TmAs3Pd5: calculated X-ray powder pattern (λ = 1.5418 Å (Cu Kα)), based on a structure optimized by DFT (GGA-PBE).
Neutral-atom scattering factors, no anomalous dispersion.

Crystal structure
```
data_TmAs3Pd5
_cell_length_a 7.5295
_cell_length_b 7.5295
_cell_length_c 11.7627
_cell_angle_alpha 90.00
_cell_angle_beta 90.00
_cell_angle_gamma 149.41
_space_group_name_H-M_alt 'P 1'
_space_group_IT_number 1
_space_group_name_Hall 'P 1'
loop_
_atom_site_label
_atom_site_type_symbol
_atom_site_fract_x
_atom_site_fract_y
_atom_site_fract_z
Tm1 Tm 0.0607 0.9393 0.7500
Tm2 Tm 0.9393 0.0607 0.2500
As1 As 0.1466 0.8534 0.2500
As2 As 0.3757 0.6243 0.0695
As3 As 0.3757 0.6243 0.4305
As4 As 0.6243 0.3757 0.5695
As5 As 0.6243 0.3757 0.9305
As6 As 0.8534 0.1466 0.7500
Pd1 Pd 0.0000 0.0000 0.0000
Pd2 Pd 0.0000 0.0000 0.5000
Pd3 Pd 0.1950 0.8050 0.0403
Pd4 Pd 0.1950 0.8050 0.4597
Pd5 Pd 0.4250 0.5750 0.6364
Pd6 Pd 0.4250 0.5750 0.8636
Pd7 Pd 0.5750 0.4250 0.1364
Pd8 Pd 0.5750 0.4250 0.3636
Pd9 Pd 0.8050 0.1950 0.5403
Pd10 Pd 0.8050 0.1950 0.9597
```

Peak list (12 most intense, 2θ = 10–90°, in order of falling intensity)
2θ/deg  I_rel
38.60  100.0
39.17  51.3
30.08  45.4
38.39  45.3
45.68  44.4
41.46  44.4
12.19  38.7
45.97  35.5
45.23  28.4
43.96  27.6
66.81  22.9
19.42  22.6

=====

UAs2Pd6: calculated X-ray powder pattern (λ = 1.5418 Å (Cu Kα)), based on a structure optimized by DFT (GGA-PBE).
Neutral-atom scattering factors, no anomalous dispersion.

Crystal structure
```
data_UAs2Pd6
_cell_length_a 6.3221
_cell_length_b 6.3221
_cell_length_c 6.3221
_cell_angle_alpha 138.03
_cell_angle_beta 104.34
_cell_angle_gamma 90.51
_space_group_name_H-M_alt 'P 1'
_space_group_IT_number 1
_space_group_name_Hall 'P 1'
loop_
_atom_site_label
_atom_site_type_symbol
_atom_site_fract_x
_atom_site_fract_y
_atom_site_fract_z
U1 U 0.0000 0.0000 0.0000
As1 As 0.3251 0.3251 0.0000
As2 As 0.6749 0.6749 0.0000
Pd1 Pd 0.1427 0.8232 0.3194
Pd2 Pd 0.2328 0.5000 0.7328
Pd3 Pd 0.4962 0.1768 0.3194
Pd4 Pd 0.5038 0.8232 0.6806
Pd5 Pd 0.7672 0.5000 0.2672
Pd6 Pd 0.8573 0.1768 0.6806
```

Peak list (12 most intense, 2θ = 10–90°, in order of falling intensity)
2θ/deg  I_rel
43.29  100.0
40.17  62.5
32.31  51.1
39.81  45.1
52.17  26.4
74.68  19.9
32.01  18.3
30.43  17.4
77.05  16.9
36.19  15.8
82.01  14.8
76.82  12.8